Record 1
For Rb2GdAgCl6, the PBE geometry in the Materials Project gives the theoretical XRD peak list in this record (Cu Kα (weighted mean of Kα1 and Kα2)).
Peak positions follow from Bragg's law for the DFT cell and can differ from measured ones.

Principal peaks in the range 15 to 90 degrees two-theta, in order of falling intensity:
| two_theta | I_rel |
| --- | --- |
| 23.25 | 100 |
| 33.12 | 65 |
| 40.86 | 46 |
| 47.53 | 44 |
| 16.38 | 25 |
| 64.44 | 24 |
| 53.56 | 21 |
| 79.17 | 19 |
| 59.15 | 15 |
| 88.54 | 15 |

Cell and atoms:
Cell: 7.651 7.651 7.651 Å, 60.00 60.00 60.00°
Positions (direct):
Rb: 0.250 0.250 0.250
Rb: 0.750 0.750 0.750
Gd: 0.000 0.000 0.000
Ag: 0.500 0.500 0.500
Cl: 0.246 0.246 0.754
Cl: 0.246 0.754 0.246
Cl: 0.246 0.754 0.754
Cl: 0.754 0.246 0.246
Cl: 0.754 0.246 0.754
Cl: 0.754 0.754 0.246

=====

Record 2
For K2InAgCl6, the PBE geometry in the Materials Project gives the theoretical XRD peak list in this record (Cu Kα (weighted mean of Kα1 and Kα2)).
Peak positions follow from Bragg's law for the DFT cell and can differ from measured ones.

Principal peaks in the range 15 to 90 degrees two-theta, in order of falling intensity:
| two_theta | I_rel |
| --- | --- |
| 23.98 | 100 |
| 16.89 | 99 |
| 34.17 | 96 |
| 49.10 | 62 |
| 38.35 | 49 |
| 42.18 | 44 |
| 82.13 | 25 |
| 52.29 | 24 |
| 66.68 | 22 |
| 61.17 | 20 |

Cell and atoms:
Cell: 7.422 7.422 7.422 Å, 60.00 60.00 60.00°
Positions (direct):
K: 0.250 0.250 0.250
K: 0.750 0.750 0.750
In: 0.000 0.000 0.000
Ag: 0.500 0.500 0.500
Cl: 0.243 0.243 0.757
Cl: 0.243 0.757 0.243
Cl: 0.243 0.757 0.757
Cl: 0.757 0.243 0.243
Cl: 0.757 0.243 0.757
Cl: 0.757 0.757 0.243

=====

Record 3
For Na2InAgCl6, the PBE geometry in the Materials Project gives the theoretical XRD peak list in this record (Cu Kα (weighted mean of Kα1 and Kα2)).
Peak positions follow from Bragg's law for the DFT cell and can differ from measured ones.

Principal peaks in the range 15 to 90 degrees two-theta, in order of falling intensity:
| two_theta | I_rel |
| --- | --- |
| 17.02 | 100 |
| 34.44 | 63 |
| 24.16 | 55 |
| 38.65 | 47 |
| 49.50 | 41 |
| 42.51 | 25 |
| 52.72 | 23 |
| 82.89 | 17 |
| 61.69 | 13 |
| 67.25 | 12 |

Cell and atoms:
Cell: 7.366 7.366 7.366 Å, 60.00 60.00 60.00°
Positions (direct):
Na: 0.250 0.250 0.250
Na: 0.750 0.750 0.750
In: 0.000 0.000 0.000
Ag: 0.500 0.500 0.500
Cl: 0.243 0.243 0.757
Cl: 0.243 0.757 0.243
Cl: 0.243 0.757 0.757
Cl: 0.757 0.243 0.243
Cl: 0.757 0.243 0.757
Cl: 0.757 0.757 0.243